Entry 1:
Structure and computed powder diffractogram of Mn2Si2O7 (DFT lattice parameters and positions (GGA+U); CuKα).
Kinematic intensities with the Lorentz-polarization factor, no thermal factor.

a b c (Å): 12.5142 4.9674 4.9674
angles (deg): 115.22 90.00 90.00
Fractional positions:
Mn1 0.0000 0.0000 0.0000
Mn2 0.2500 0.0338 0.9657
Mn3 0.5000 0.0000 0.0000
Mn4 0.7500 0.9657 0.0338
Si1 0.1329 0.6644 0.3359
Si2 0.3671 0.6644 0.3359
Si3 0.6329 0.3359 0.6644
Si4 0.8671 0.3359 0.6644
O1 0.0352 0.7852 0.2153
O2 0.1355 0.8047 0.7041
O3 0.1356 0.2962 0.1942
O4 0.2500 0.7654 0.2366
O5 0.3644 0.2962 0.1942
O6 0.3645 0.8047 0.7041
O7 0.4648 0.7852 0.2153
O8 0.5352 0.2153 0.7852
O9 0.6355 0.7041 0.8047
O10 0.6356 0.1942 0.2962
O11 0.7500 0.2366 0.7654
O12 0.8644 0.1942 0.2962
O13 0.8645 0.7041 0.8047
O14 0.9648 0.2153 0.7852

Peak list (12 most intense, 2θ = 5–70°, sorted by position)
19.76°, I 90.4
21.00°, I 47.9
21.18°, I 34.0
22.35°, I 60.3
29.21°, I 15.7
33.68°, I 31.2
34.95°, I 100.0
36.29°, I 39.1
44.71°, I 26.5
49.97°, I 35.5
61.06°, I 18.8
63.87°, I 19.5

Entry 2:
Structure and computed powder diffractogram of SmMnO3 (DFT lattice parameters and positions (GGA+U); CuKα).
Kinematic intensities with the Lorentz-polarization factor, no thermal factor.

a b c (Å): 3.8951 3.8951 3.8951
angles (deg): 90.00 90.00 90.00
Fractional positions:
Sm1 0.0000 0.0000 0.0000
Mn1 0.5000 0.5000 0.5000
O1 0.0000 0.5000 0.5000
O2 0.5000 0.0000 0.5000
O3 0.5000 0.5000 0.0000

Peak list (7 most intense, 2θ = 5–70°, sorted by position)
22.83°, I 18.6
32.51°, I 100.0
40.10°, I 21.2
46.64°, I 31.8
52.54°, I 9.7
58.00°, I 38.3
68.08°, I 18.8

What did the second record say?
Structure and computed powder diffractogram of SmMnO3 (DFT lattice parameters and positions (GGA+U); CuKα).
Kinematic intensities with the Lorentz-polarization factor, no thermal factor.

a b c (Å): 3.8951 3.8951 3.8951
angles (deg): 90.00 90.00 90.00
Fractional positions:
Sm1 0.0000 0.0000 0.0000
Mn1 0.5000 0.5000 0.5000
O1 0.0000 0.5000 0.5000
O2 0.5000 0.0000 0.5000
O3 0.5000 0.5000 0.0000

Peak list (7 most intense, 2θ = 5–70°, sorted by position)
22.83°, I 18.6
32.51°, I 100.0
40.10°, I 21.2
46.64°, I 31.8
52.54°, I 9.7
58.00°, I 38.3
68.08°, I 18.8